Structure and theoretical PXRD pattern of Mo4AuC3 (the PBE geometry in OQMD; copper Kα).
No peak broadening, texture or thermal motion is included.

Largest 8 diffraction maxima, low angle first, 10 to 80 degrees two-theta:
hkl 1 0 1, 33.29 deg, I 59; hkl 1 0 4, 36.51 deg, I 60; hkl 0 0 10, 38.22 deg, I 43; hkl 1 0 5, 38.33 deg, I 100; hkl 1 0 6, 40.46 deg, I 78; hkl 1 0 11, 54.64 deg, I 27; hkl 1 1 0, 59.06 deg, I 44; hkl 1 1 10, 72.57 deg, I 54

Structural model:
```
16
Lattice="3.1284 0.0000 0.0000 -1.5642 2.7093 0.0000 0.0000 0.0000 23.5460" Properties=species:S:1:pos:R:3 pbc="T T T"
Mo 0.0000 0.0000 3.5586
Mo 0.0000 0.0000 8.2144
Mo 0.0000 0.0000 15.3316
Mo 0.0000 0.0000 19.9874
Mo 0.0000 1.8062 1.3252
Mo 0.0000 1.8062 10.4477
Mo 1.5642 0.9031 13.0982
Mo 1.5642 0.9031 22.2207
Au 0.0000 1.8062 5.8865
Au 1.5642 0.9031 17.6595
C 0.0000 0.0000 0.0000
C 0.0000 0.0000 11.7730
C 0.0000 1.8062 14.3693
C 0.0000 1.8062 20.9496
C 1.5642 0.9031 2.5963
C 1.5642 0.9031 9.1766
```